Structure and simulated X-ray powder pattern of V2Zn2PbO7 (the PBE+U geometry in Alexandria; Cu Kα).
Peak positions follow from Bragg's law for the DFT cell and can differ from measured ones.

Main lines, in order of rising 2θ (5° ≤ 2θ ≤ 70°):
2θ 10.97, intensity 69
2θ 23.46, intensity 68
2θ 25.97, intensity 23
2θ 31.81, intensity 100
2θ 33.78, intensity 20
2θ 56.71, intensity 33

Crystal structure
```
V2Zn2PbO7
1.0
2.8101 1.6224 8.0630
-2.8101 1.6224 8.0630
0.0000 -3.2449 8.0630
V Zn Pb O
2 2 1 7
Cartesian
0.0000 0.0000 1.7996
0.0000 0.0000 22.3895
0.0000 0.0000 5.7222
0.0000 0.0000 18.4669
0.0000 0.0000 12.0945
0.0000 0.0000 0.0000
-0.9254 -1.8102 10.5053
-1.1050 -1.7065 13.6838
-1.1050 1.7065 10.5053
-0.9254 1.8102 13.6838
2.0304 0.1037 10.5053
2.0304 -0.1037 13.6838
```